PuUAs: computed XRD peak list (a wavelength of 1.5418 Å), based on a structure optimized by DFT (PBE).
Lines closer than 0.1° are merged.

Top 10 peaks for 10° ≤ 2θ ≤ 90°, by angle:
hkl, 2theta, I/Imax
1 0 1, 25.7, 29.8
1 1 0, 36.3, 100.0
1 0 2, 37.1, 95.5
2 0 1, 45.0, 7.1
2 0 2, 52.8, 35.3
3 0 0, 65.3, 18.8
2 1 2, 65.8, 37.3
1 1 4, 75.1, 25.4
2 2 0, 77.0, 11.9
3 1 2, 88.7, 18.0

Structure:
```
data_PuUAs
_chemical_formula_sum 'Pu2 U2 As2'
_cell_length_a 4.9517
_cell_length_b 4.9517
_cell_length_c 5.8814
_cell_angle_alpha 90.00
_cell_angle_beta 90.00
_cell_angle_gamma 120.00
_symmetry_space_group_name_H-M 'P 63/m m c'
_symmetry_Int_Tables_number 194
_symmetry_space_group_name_Hall '-P 6c 2c'
loop_
_atom_site_label
_atom_site_fract_x
_atom_site_fract_y
_atom_site_fract_z
Pu1 0.3333 0.6667 0.2500
U1 0.0000 0.0000 0.0000
As1 0.3333 0.6667 0.7500
```



Ac2Ni12Ge7: computed XRD peak list (a wavelength of 1.5418 Å), based on a structure optimized by DFT (PBE).
Lines closer than 0.1° are merged.

Top 10 peaks for 10° ≤ 2θ ≤ 90°, by angle:
hkl, 2theta, I/Imax
1 0 1, 25.0, 12.9
2 0 1, 31.3, 26.9
3 0 0, 32.5, 23.4
2 1 1, 36.7, 100.0
2 2 0, 37.7, 14.9
1 3 0, 39.3, 14.4
3 1 1, 45.8, 17.4
0 0 2, 46.0, 26.2
1 4 0, 50.6, 15.2
3 2 1, 53.6, 22.9

Structure:
```
data_Ac2Ni12Ge7
_chemical_formula_sum 'Ac2 Ni12 Ge7'
_cell_length_a 9.5458
_cell_length_b 9.5458
_cell_length_c 3.9463
_cell_angle_alpha 90.00
_cell_angle_beta 90.00
_cell_angle_gamma 120.00
_symmetry_space_group_name_H-M 'P -6'
_symmetry_Int_Tables_number 174
_symmetry_space_group_name_Hall 'P -6'
loop_
_atom_site_label
_atom_site_fract_x
_atom_site_fract_y
_atom_site_fract_z
Ac1 0.0000 0.0000 0.0000
Ac2 0.3333 0.6667 0.5000
Ni1 0.0258 0.2801 0.5000
Ni2 0.1235 0.7413 0.0000
Ni3 0.3880 0.1977 0.0000
Ni4 0.5703 0.1414 0.5000
Ge1 0.0416 0.4472 0.0000
Ge2 0.2772 0.2517 0.5000
Ge3 0.6667 0.3333 0.0000
```



PrNdZnIn: computed XRD peak list (a wavelength of 1.5418 Å), based on a structure optimized by DFT (PBE).
Lines closer than 0.1° are merged.

Top 10 peaks for 10° ≤ 2θ ≤ 90°, by angle:
hkl, 2theta, I/Imax
1 0 2, 33.2, 100.0
1 1 0, 33.8, 49.4
0 0 4, 46.8, 8.5
2 0 0, 48.5, 17.7
1 1 4, 58.9, 16.9
2 1 2, 60.0, 35.5
2 0 4, 69.6, 10.1
1 0 6, 78.0, 6.1
3 0 2, 80.6, 7.5
3 1 0, 81.0, 7.7

Structure:
```
data_PrNdZnIn
_chemical_formula_sum 'Pr1 Nd1 Zn1 In1'
_cell_length_a 3.755
_cell_length_b 3.755
_cell_length_c 7.771
_cell_angle_alpha 90.00
_cell_angle_beta 90.00
_cell_angle_gamma 90.00
_symmetry_space_group_name_H-M 'P 4 m m'
_symmetry_Int_Tables_number 99
_symmetry_space_group_name_Hall 'P 4 -2'
loop_
_atom_site_label
_atom_site_fract_x
_atom_site_fract_y
_atom_site_fract_z
Pr1 0.000 0.000 0.000
Nd1 0.000 0.000 0.538
Zn1 0.500 0.500 0.765
In1 0.500 0.500 0.272
```